For TbSn4Hg, a cell relaxed with GGA-PBE gives the calculated powder X-ray diffraction pattern in this record (copper Kα).
Peak positions follow from Bragg's law for the DFT cell and can differ from measured ones.

Structure:
```
data_TbSn4Hg
_chemical_formula_sum 'Tb4 Sn16 Hg4'
_symmetry_space_group_name_H-M 'F -4 3 m'
_symmetry_Int_Tables_number 216
_symmetry_space_group_name_Hall 'F -4 2 3'
_cell_length_a 8.720
_cell_length_b 8.720
_cell_length_c 8.720
_cell_angle_alpha 90.00
_cell_angle_beta 90.00
_cell_angle_gamma 90.00
loop_
_atom_site_label
_atom_site_type_symbol
_atom_site_fract_x
_atom_site_fract_y
_atom_site_fract_z
_atom_site_occupancy
Tb1 Tb 0.000 0.000 0.000 1
Sn1 Sn 0.125 0.125 0.375 1
Hg1 Hg 0.250 0.250 0.750 1
```

Most intense lines, 2θ = 10–80°, sorted by position:
two_theta  I/Imax  hkl
28.96  39  2 2 0
34.10  100  3 1 1
35.67  29  2 2 2
41.42  1  4 0 0
51.33  16  4 2 2
54.70  35  5 1 1
60.02  29  4 4 0
67.99  7  6 2 0
70.86  13  5 3 3
71.81  12  6 2 2

For Nb2O3, a cell relaxed with GGA-PBE gives the calculated powder X-ray diffraction pattern in this record (copper Kα).
Peak positions follow from Bragg's law for the DFT cell and can differ from measured ones.

Structure:
```
data_Nb2O3
_chemical_formula_sum 'Nb4 O6'
_symmetry_space_group_name_H-M 'P 1 21/m 1'
_symmetry_Int_Tables_number 11
_symmetry_space_group_name_Hall '-P 2yb'
_cell_length_a 5.186
_cell_length_b 3.078
_cell_length_c 8.144
_cell_angle_alpha 90.00
_cell_angle_beta 106.32
_cell_angle_gamma 90.00
loop_
_atom_site_label
_atom_site_type_symbol
_atom_site_fract_x
_atom_site_fract_y
_atom_site_fract_z
_atom_site_occupancy
Nb1 Nb 0.141 0.250 0.134 1
Nb2 Nb 0.221 0.250 0.508 1
O1 O 0.043 0.750 0.316 1
O2 O 0.271 0.750 0.015 1
O3 O 0.490 0.750 0.646 1
```

Most intense lines, 2θ = 10–80°, sorted by position:
two_theta  I/Imax  hkl
17.82  68  1 0 0
18.24  75  1 0 -1
22.75  49  0 0 2
24.70  40  1 0 -2
34.26  100  1 1 0
34.45  62  0 0 3
37.19  36  0 1 2
44.41  58  1 1 2
45.34  88  1 1 -3
61.66  36  3 1 -1

For KRb2Au9, a cell relaxed with GGA-PBE gives the calculated powder X-ray diffraction pattern in this record (copper Kα).
Peak positions follow from Bragg's law for the DFT cell and can differ from measured ones.

Structure:
```
data_KRb2Au9
_chemical_formula_sum 'K3 Rb6 Au27'
_symmetry_space_group_name_H-M 'R -3 m'
_symmetry_Int_Tables_number 166
_symmetry_space_group_name_Hall '-R 3 2"'
_cell_length_a 5.8010
_cell_length_b 5.8010
_cell_length_c 29.0235
_cell_angle_alpha 90.00
_cell_angle_beta 90.00
_cell_angle_gamma 120.00
loop_
_atom_site_label
_atom_site_type_symbol
_atom_site_fract_x
_atom_site_fract_y
_atom_site_fract_z
_atom_site_occupancy
K1 K 0.0000 0.0000 0.0000 1
Rb1 Rb 0.0000 0.0000 0.1427 1
Au1 Au 0.0000 0.0000 0.3324 1
Au2 Au 0.0000 0.0000 0.5000 1
Au3 Au 0.0010 0.5005 0.0798 1
```

Most intense lines, 2θ = 10–80°, sorted by position:
two_theta  I/Imax  hkl
17.92  74  1 0 1
35.88  25  0 2 1
36.11  100  1 1 6
37.17  36  0 0 12
38.54  22  0 1 11
39.07  58  2 0 5
42.06  42  0 2 7
58.31  25  0 3 6
64.22  29  2 2 0
76.60  28  2 2 12

For HgBH, a cell relaxed with GGA-PBE gives the calculated powder X-ray diffraction pattern in this record (copper Kα).
Peak positions follow from Bragg's law for the DFT cell and can differ from measured ones.

Structure:
```
data_HgBH
_chemical_formula_sum 'Hg2 B2 H2'
_symmetry_space_group_name_H-M 'P -1'
_symmetry_Int_Tables_number 2
_symmetry_space_group_name_Hall '-P 1'
_cell_length_a 2.854
_cell_length_b 2.883
_cell_length_c 11.236
_cell_angle_alpha 94.79
_cell_angle_beta 93.51
_cell_angle_gamma 112.31
loop_
_atom_site_label
_atom_site_type_symbol
_atom_site_fract_x
_atom_site_fract_y
_atom_site_fract_z
_atom_site_occupancy
Hg1 Hg 0.083 0.085 0.152 1
B1 B 0.237 0.235 0.469 1
H1 H 0.189 0.181 0.358 1
```

Most intense lines, 2θ = 10–80°, sorted by position:
two_theta  I/Imax  hkl
23.97  100  0 0 3
32.14  28  0 0 4
33.84  69  0 1 -1
34.14  32  1 0 0
34.28  35  1 0 -1
37.77  35  1 -1 0
39.34  31  0 1 2
44.21  41  1 0 3
44.38  21  0 1 -4
44.97  39  1 0 -4

For Ti4Ir, a cell relaxed with GGA-PBE gives the calculated powder X-ray diffraction pattern in this record (copper Kα).
Peak positions follow from Bragg's law for the DFT cell and can differ from measured ones.

Structure:
```
data_Ti4Ir
_chemical_formula_sum 'Ti32 Ir8'
_symmetry_space_group_name_H-M 'F d d d'
_symmetry_Int_Tables_number 70
_cell_length_a 5.139
_cell_length_b 9.277
_cell_length_c 13.486
_cell_angle_alpha 90.00
_cell_angle_beta 90.00
_cell_angle_gamma 90.00
loop_
_symmetry_equiv_pos_as_xyz
'x,y,z'
'-x,-y,-z'
'-x+1/4,-y+1/4,z'
'x+1/4,y+1/4,-z'
'x,-y+1/4,-z+1/4'
'-x,y+1/4,z+1/4'
'-x+1/4,y,-z+1/4'
'x+1/4,-y,z+1/4'
'x,y+1/2,z+1/2'
'-x,-y+1/2,-z+1/2'
'-x+1/4,-y+3/4,z+1/2'
'x+1/4,y+3/4,-z+1/2'
'x,-y+3/4,-z+3/4'
'-x,y+3/4,z+3/4'
'-x+1/4,y+1/2,-z+3/4'
'x+1/4,-y+1/2,z+3/4'
'x+1/2,y,z+1/2'
'-x+1/2,-y,-z+1/2'
'-x+3/4,-y+1/4,z+1/2'
'x+3/4,y+1/4,-z+1/2'
'x+1/2,-y+1/4,-z+3/4'
'-x+1/2,y+1/4,z+3/4'
'-x+3/4,y,-z+3/4'
'x+3/4,-y,z+3/4'
'x+1/2,y+1/2,z'
'-x+1/2,-y+1/2,-z'
'-x+3/4,-y+3/4,z'
'x+3/4,y+3/4,-z'
'x+1/2,-y+3/4,-z+1/4'
'-x+1/2,y+3/4,z+1/4'
'-x+3/4,y+1/2,-z+1/4'
'x+3/4,-y+1/2,z+1/4'
loop_
_atom_site_label
_atom_site_type_symbol
_atom_site_fract_x
_atom_site_fract_y
_atom_site_fract_z
_atom_site_occupancy
Ti1 Ti 0.125 0.125 0.029 1
Ti2 Ti 0.125 0.125 0.425 1
Ir1 Ir 0.125 0.125 0.625 1
```

Most intense lines, 2θ = 10–80°, sorted by position:
two_theta  I/Imax  hkl
20.83  66  1 1 1
23.28  55  0 2 2
26.44  20  0 0 4
28.07  30  1 1 3
38.83  51  0 4 0
38.94  100  1 1 5
40.12  92  2 2 0
48.14  53  1 3 5
63.49  22  1 5 5
65.30  20  3 1 5

For Ba2In6CuRh, a cell relaxed with GGA-PBE gives the calculated powder X-ray diffraction pattern in this record (copper Kα).
Peak positions follow from Bragg's law for the DFT cell and can differ from measured ones.

Structure:
```
data_Ba2In6CuRh
_chemical_formula_sum 'Ba2 In6 Cu1 Rh1'
_symmetry_space_group_name_H-M 'P -1'
_symmetry_Int_Tables_number 2
_symmetry_space_group_name_Hall '-P 1'
_cell_length_a 7.249
_cell_length_b 7.310
_cell_length_c 7.467
_cell_angle_alpha 89.87
_cell_angle_beta 61.03
_cell_angle_gamma 60.29
loop_
_atom_site_label
_atom_site_type_symbol
_atom_site_fract_x
_atom_site_fract_y
_atom_site_fract_z
_atom_site_occupancy
Ba1 Ba 0.074 0.211 0.142 1
In1 In 0.003 0.748 0.318 1
In2 In 0.432 0.320 0.317 1
In3 In 0.432 0.748 0.317 1
Cu1 Cu 0.500 0.500 0.000 1
Rh1 Rh 0.500 0.000 0.500 1
```

Most intense lines, 2θ = 10–80°, sorted by position:
two_theta  I/Imax  hkl
27.77  44  1 1 2
27.92  21  0 1 -2
29.63  29  0 2 0
30.02  57  2 2 0
34.33  100  0 2 -2
37.81  14  1 3 0
38.23  16  3 1 2
45.49  14  3 0 1
49.90  27  2 -2 2
51.67  16  2 3 -2

For HoPu2UAs4, a cell relaxed with GGA-PBE gives the calculated powder X-ray diffraction pattern in this record (copper Kα).
Peak positions follow from Bragg's law for the DFT cell and can differ from measured ones.

Structure:
```
data_HoPu2UAs4
_chemical_formula_sum 'Ho1 Pu2 U1 As4'
_symmetry_space_group_name_H-M 'P 1 2/m 1'
_symmetry_Int_Tables_number 10
_symmetry_space_group_name_Hall '-P 2y'
_cell_length_a 7.101
_cell_length_b 4.111
_cell_length_c 7.160
_cell_angle_alpha 90.00
_cell_angle_beta 109.30
_cell_angle_gamma 90.00
loop_
_atom_site_label
_atom_site_type_symbol
_atom_site_fract_x
_atom_site_fract_y
_atom_site_fract_z
_atom_site_occupancy
Ho1 Ho 0.000 0.000 0.000 1
Pu1 Pu 0.500 0.000 0.500 1
Pu2 Pu 0.500 0.500 0.000 1
U1 U 0.000 0.500 0.500 1
As1 As 0.246 0.000 0.747 1
As2 As 0.247 0.500 0.252 1
```

Most intense lines, 2θ = 10–80°, sorted by position:
two_theta  I/Imax  hkl
26.38  11  0 0 2
26.57  31  2 0 0
30.72  100  1 1 1
43.87  38  2 0 2
44.12  38  0 2 0
52.14  11  3 1 1
54.69  13  2 2 -2
63.94  8  2 2 2
72.45  18  3 1 3
72.86  12  4 2 0

For Na2ZrTiTe4, a cell relaxed with GGA-PBE gives the calculated powder X-ray diffraction pattern in this record (copper Kα).
Peak positions follow from Bragg's law for the DFT cell and can differ from measured ones.

Structure:
```
data_Na2ZrTiTe4
_chemical_formula_sum 'Na2 Zr1 Ti1 Te4'
_symmetry_space_group_name_H-M 'P 1 2/m 1'
_symmetry_Int_Tables_number 10
_symmetry_space_group_name_Hall '-P 2y'
_cell_length_a 7.079
_cell_length_b 4.068
_cell_length_c 8.093
_cell_angle_alpha 90.00
_cell_angle_beta 106.80
_cell_angle_gamma 90.00
loop_
_atom_site_label
_atom_site_type_symbol
_atom_site_fract_x
_atom_site_fract_y
_atom_site_fract_z
_atom_site_occupancy
Na1 Na 0.000 0.000 0.000 1
Na2 Na 0.500 0.500 0.000 1
Zr1 Zr 0.000 0.500 0.500 1
Ti1 Ti 0.500 0.000 0.500 1
Te1 Te 0.248 0.000 0.722 1
Te2 Te 0.268 0.500 0.283 1
```

Most intense lines, 2θ = 10–80°, sorted by position:
two_theta  I/Imax  hkl
11.42  25  0 0 1
22.96  10  0 0 2
26.42  18  1 1 -1
29.60  100  1 1 1
37.17  11  2 0 -3
40.10  12  2 0 2
40.24  25  1 1 -3
44.38  22  3 1 -1
44.55  11  0 2 0
54.39  12  2 2 -2

> Which formula does entry 4 have?

HgBH